Entry 1:
The following is a simulated XRD peak list of CsNa2. It was derived from a structure optimized by DFT (PBE), using Cu Kα (weighted mean of Kα1 and Kα2).
Neutral-atom scattering factors, no anomalous dispersion.

Top 10 peaks for 5° ≤ 2θ ≤ 70°, by angle:
13.15°, I = 34
14.84°, I = 26
22.89°, I = 77
24.55°, I = 100
26.78°, I = 84
27.39°, I = 33
41.22°, I = 50
42.66°, I = 23
44.20°, I = 33
50.34°, I = 24

Structural model:
```
data_CsNa2
_space_group_name_H-M_alt 'P 63/m m c'
_space_group_IT_number 194
_space_group_name_Hall '-P 6c 2c'
_cell_length_a 7.7715
_cell_length_b 7.7715
_cell_length_c 12.9159
_cell_angle_alpha 90.00
_cell_angle_beta 90.00
_cell_angle_gamma 120.00
loop_
_atom_site_label
_atom_site_fract_x
_atom_site_fract_y
_atom_site_fract_z
_atom_site_occupancy
Cs1 0.3333 0.6667 0.0623 1
Na1 0.0000 0.0000 0.0000 1
Na2 0.1653 0.3306 0.7500 1
```

Entry 2:
The following is a simulated XRD peak list of Ba5GeI4. It was derived from a structure optimized by DFT (PBE), using Cu Kα (weighted mean of Kα1 and Kα2).
Neutral-atom scattering factors, no anomalous dispersion.

Top 10 peaks for 5° ≤ 2θ ≤ 70°, by angle:
25.15°, I = 100
25.44°, I = 51
35.87°, I = 36
36.08°, I = 77
44.49°, I = 39
58.27°, I = 13
58.41°, I = 15
58.85°, I = 18
64.60°, I = 20
65.01°, I = 12

Structural model:
```
data_Ba5GeI4
_space_group_name_H-M_alt 'I 4/m'
_space_group_IT_number 87
_space_group_name_Hall '-I 4'
_cell_length_a 11.197
_cell_length_b 11.197
_cell_length_c 7.001
_cell_angle_alpha 90.00
_cell_angle_beta 90.00
_cell_angle_gamma 90.00
loop_
_atom_site_label
_atom_site_fract_x
_atom_site_fract_y
_atom_site_fract_z
_atom_site_occupancy
Ba1 0.000 0.000 0.000 1
Ba2 0.097 0.272 0.500 1
Ge1 0.000 0.000 0.500 1
I1 0.092 0.308 0.000 1
```

Entry 3:
The following is a simulated XRD peak list of CaAcErMg. It was derived from a structure optimized by DFT (PBE), using Cu Kα (weighted mean of Kα1 and Kα2).
Neutral-atom scattering factors, no anomalous dispersion.

Top 10 peaks for 5° ≤ 2θ ≤ 70°, by angle:
18.71°, I = 56
21.64°, I = 1
30.79°, I = 100
36.28°, I = 33
44.10°, I = 19
48.30°, I = 15
54.75°, I = 40
58.38°, I = 12
64.14°, I = 12
67.46°, I = 12

Structural model:
```
data_CaAcErMg
_space_group_name_H-M_alt 'F -4 3 m'
_space_group_IT_number 216
_space_group_name_Hall 'F -4 2 3'
_cell_length_a 8.213
_cell_length_b 8.213
_cell_length_c 8.213
_cell_angle_alpha 90.00
_cell_angle_beta 90.00
_cell_angle_gamma 90.00
loop_
_atom_site_label
_atom_site_fract_x
_atom_site_fract_y
_atom_site_fract_z
_atom_site_occupancy
Ca1 0.000 0.000 0.000 1
Ac1 0.250 0.250 0.250 1
Er1 0.000 0.000 0.500 1
Mg1 0.250 0.250 0.750 1
```

Entry 4:
The following is a simulated XRD peak list of TaAu2Cl. It was derived from a structure optimized by DFT (PBE), using Cu Kα (weighted mean of Kα1 and Kα2).
Neutral-atom scattering factors, no anomalous dispersion.

Top 10 peaks for 5° ≤ 2θ ≤ 70°, by angle:
8.68°, I = 95
17.41°, I = 11
35.23°, I = 23
36.68°, I = 30
37.64°, I = 100
42.73°, I = 24
44.46°, I = 9
51.77°, I = 16
64.82°, I = 12
66.68°, I = 19

Structural model:
```
data_TaAu2Cl
_space_group_name_H-M_alt 'C m m 2'
_space_group_IT_number 35
_cell_length_a 3.245
_cell_length_b 4.900
_cell_length_c 10.189
_cell_angle_alpha 90.00
_cell_angle_beta 90.00
_cell_angle_gamma 90.00
loop_
_space_group_symop_operation_xyz
'x,y,z'
'-x,-y,z'
'-x,y,z'
'x,-y,z'
'x+1/2,y+1/2,z'
'-x+1/2,-y+1/2,z'
'-x+1/2,y+1/2,z'
'x+1/2,-y+1/2,z'
loop_
_atom_site_label
_atom_site_fract_x
_atom_site_fract_y
_atom_site_fract_z
_atom_site_occupancy
Ta1 0.000 0.000 0.000 1
Au1 0.000 0.000 0.541 1
Au2 0.000 0.500 0.775 1
Cl1 0.000 0.500 0.190 1
```

Repeat the third record exactly.
The following is a simulated XRD peak list of CaAcErMg. It was derived from a structure optimized by DFT (PBE), using Cu Kα (weighted mean of Kα1 and Kα2).
Neutral-atom scattering factors, no anomalous dispersion.

Top 10 peaks for 5° ≤ 2θ ≤ 70°, by angle:
18.71°, I = 56
21.64°, I = 1
30.79°, I = 100
36.28°, I = 33
44.10°, I = 19
48.30°, I = 15
54.75°, I = 40
58.38°, I = 12
64.14°, I = 12
67.46°, I = 12

Structural model:
```
data_CaAcErMg
_space_group_name_H-M_alt 'F -4 3 m'
_space_group_IT_number 216
_space_group_name_Hall 'F -4 2 3'
_cell_length_a 8.213
_cell_length_b 8.213
_cell_length_c 8.213
_cell_angle_alpha 90.00
_cell_angle_beta 90.00
_cell_angle_gamma 90.00
loop_
_atom_site_label
_atom_site_fract_x
_atom_site_fract_y
_atom_site_fract_z
_atom_site_occupancy
Ca1 0.000 0.000 0.000 1
Ac1 0.250 0.250 0.250 1
Er1 0.000 0.000 0.500 1
Mg1 0.250 0.250 0.750 1
```